Computed X-ray diffraction stick pattern of Sm12ErAl3 for λ = 1.5418 Å (Cu Kα), from a PBE-relaxed structure.
Neutral-atom scattering factors, no anomalous dispersion.

Structural model:
```
data_Sm12ErAl3
_chemical_formula_sum 'Sm12 Er1 Al3'
_symmetry_space_group_name_H-M 'P 4/m m m'
_symmetry_Int_Tables_number 123
_symmetry_space_group_name_Hall '-P 4 2'
_cell_length_a 4.8797
_cell_length_b 4.8797
_cell_length_c 19.8614
_cell_angle_alpha 90.00
_cell_angle_beta 90.00
_cell_angle_gamma 90.00
loop_
_atom_site_label
_atom_site_type_symbol
_atom_site_fract_x
_atom_site_fract_y
_atom_site_fract_z
Sm1 Sm 0.0000 0.0000 0.0000
Sm2 Sm 0.0000 0.0000 0.2437
Sm3 Sm 0.0000 0.0000 0.5000
Sm4 Sm 0.0000 0.5000 0.1222
Sm5 Sm 0.0000 0.5000 0.3662
Er1 Er 0.5000 0.5000 0.5000
Al1 Al 0.5000 0.5000 0.0000
Al2 Al 0.5000 0.5000 0.2426
```

Largest 10 diffraction maxima, low angle first, 2θ = 10–80°:
18.18°, intensity 6, hkl 1 0 0; 25.60°, intensity 5, hkl 1 0 4; 31.58°, intensity 100, hkl 1 1 4; 36.18°, intensity 16, hkl 0 0 8; 36.84°, intensity 33, hkl 2 0 0; 52.59°, intensity 22, hkl 2 0 8; 53.08°, intensity 12, hkl 2 2 0; 62.21°, intensity 12, hkl 1 1 12; 63.09°, intensity 28, hkl 3 1 4; 65.93°, intensity 11, hkl 2 2 8